This entry pairs a crystal structure of BaMnCO3F2 with its calculated X-ray diffraction stick pattern. Radiation: Cu Kα. Structure: a GGA+U-relaxed structure.
Peak positions follow from Bragg's law for the DFT cell and can differ from measured ones.

abc: 4.9749 4.9749 10.1430
angles: 90.00 90.00 120.00
Space group P6_3/m (No. 176)
One atom of each set of equivalent atoms:
1 Ba 0.0000 0.0000 0.0000
2 Mn 0.3333 0.6667 0.2500
3 C 0.3333 0.6667 0.7500
4 O 0.1269 0.3738 0.7500
5 F 0.3333 0.6667 0.0450

Top 8 peaks for 5 to 70 degrees two-theta, sorted by position:
2θ (°), I_rel
20.62, 25
27.16, 100
35.40, 27
36.11, 52
40.39, 20
45.76, 29
51.46, 29
59.63, 18